Starting from a DFT-relaxed cell (GGA-PBE, Alexandria), the powder X-ray diffraction pattern of HfZnCoPt was calculated for Cu Kα (λ = 1.5418 Å).
No peak broadening, texture or thermal motion is included.

Atomic structure:
Cell lengths 4.6024, 4.6024, 4.6024 Å; angles 127.03, 127.03, 78.20 degrees
Sites, in units of the cell vectors:
Hf: 0.0000 0.0000 0.0000
Zn: 0.5000 0.5000 0.0000
Co: 0.7500 0.2500 0.5000
Pt: 0.2500 0.7500 0.5000

Principal peaks in the range 2θ from 10° to 90°, in order of rising 2θ:
| 2θ (°) | d/Å | I_rel |
| --- | --- | --- |
| 25.02 | 3.559 | 37 |
| 40.03 | 2.253 | 100 |
| 43.96 | 2.060 | 9 |
| 44.12 | 2.052 | 38 |
| 51.15 | 1.786 | 12 |
| 51.39 | 1.778 | 11 |
| 64.05 | 1.454 | 6 |
| 64.17 | 1.451 | 12 |
| 69.81 | 1.347 | 19 |
| 78.38 | 1.220 | 28 |
| 86.39 | 1.126 | 11 |
| 88.84 | 1.101 | 10 |

Starting from a DFT-relaxed cell (GGA-PBE, Alexandria), the powder X-ray diffraction pattern of RbHf2Co was calculated for Cu Kα (λ = 1.5418 Å).
No peak broadening, texture or thermal motion is included.

Atomic structure:
Cell lengths 8.1709, 8.1709, 8.1709 Å; angles 132.73, 132.73, 69.07 degrees
Sites, in units of the cell vectors:
Rb: 0.3750 0.6250 0.7500
Rb: 0.6250 0.3750 0.2500
Hf: 0.0000 0.0000 0.0000
Hf: 0.0000 0.0000 0.5000
Hf: 0.0000 0.5000 0.0000
Hf: 0.5000 0.0000 0.5000
Co: 0.1250 0.8750 0.2500
Co: 0.8750 0.1250 0.7500

Principal peaks in the range 2θ from 10° to 90°, in order of rising 2θ:
| 2θ (°) | d/Å | I_rel |
| --- | --- | --- |
| 15.04 | 5.891 | 100 |
| 23.31 | 3.816 | 33 |
| 24.04 | 3.702 | 50 |
| 30.35 | 2.945 | 92 |
| 31.24 | 2.863 | 51 |
| 36.07 | 2.490 | 18 |
| 36.63 | 2.453 | 23 |
| 45.80 | 1.981 | 23 |
| 47.66 | 1.908 | 54 |
| 49.23 | 1.851 | 24 |
| 56.16 | 1.638 | 16 |
| 65.18 | 1.431 | 21 |

Starting from a DFT-relaxed cell (GGA-PBE, Alexandria), the powder X-ray diffraction pattern of Hf2CoRe3 was calculated for Cu Kα (λ = 1.5418 Å).
No peak broadening, texture or thermal motion is included.

Atomic structure:
Cell lengths 5.2137, 5.2137, 5.2137 Å; angles 59.49, 59.49, 59.49 degrees
Sites, in units of the cell vectors:
Hf: 0.1239 0.1239 0.1239
Hf: 0.8761 0.8761 0.8761
Co: 0.5000 0.5000 0.5000
Re: 0.0000 0.5000 0.5000
Re: 0.5000 0.0000 0.5000
Re: 0.5000 0.5000 0.0000

Principal peaks in the range 2θ from 10° to 90°, in order of rising 2θ:
| 2θ (°) | d/Å | I_rel |
| --- | --- | --- |
| 20.79 | 4.273 | 20 |
| 34.40 | 2.607 | 65 |
| 40.54 | 2.225 | 47 |
| 40.78 | 2.213 | 88 |
| 40.89 | 2.207 | 100 |
| 42.76 | 2.115 | 61 |
| 61.98 | 1.497 | 25 |
| 65.87 | 1.418 | 24 |
| 66.13 | 1.413 | 22 |
| 66.30 | 1.410 | 21 |
| 72.53 | 1.303 | 32 |
| 73.18 | 1.293 | 31 |

Starting from a DFT-relaxed cell (GGA-PBE, Alexandria), the powder X-ray diffraction pattern of Hf5CoRe4 was calculated for Cu Kα (λ = 1.5418 Å).
No peak broadening, texture or thermal motion is included.

Atomic structure:
Cell lengths 3.2608, 3.2608, 16.2357 Å; angles 90.00, 90.00, 90.00 degrees
Sites, in units of the cell vectors:
Hf: 0.0000 0.0000 0.0000
Hf: 0.0000 0.0000 0.2034
Hf: 0.0000 0.0000 0.4039
Hf: 0.0000 0.0000 0.5961
Hf: 0.0000 0.0000 0.7966
Co: 0.5000 0.5000 0.5000
Re: 0.5000 0.5000 0.1013
Re: 0.5000 0.5000 0.3058
Re: 0.5000 0.5000 0.6942
Re: 0.5000 0.5000 0.8987

Principal peaks in the range 2θ from 10° to 90°, in order of rising 2θ:
| 2θ (°) | d/Å | I_rel |
| --- | --- | --- |
| 10.90 | 8.118 | 1 |
| 16.38 | 5.412 | 1 |
| 27.91 | 3.197 | 1 |
| 32.05 | 2.793 | 1 |
| 35.31 | 2.542 | 2 |
| 39.12 | 2.303 | 100 |
| 56.44 | 1.630 | 12 |
| 56.70 | 1.624 | 6 |
| 70.83 | 1.330 | 23 |
| 71.00 | 1.327 | 11 |
| 83.93 | 1.153 | 4 |
| 84.15 | 1.150 | 7 |

Starting from a DFT-relaxed cell (GGA-PBE, Alexandria), the powder X-ray diffraction pattern of HfCoRe was calculated for Cu Kα (λ = 1.5418 Å).
No peak broadening, texture or thermal motion is included.

Atomic structure:
Cell lengths 7.5594, 7.5594, 7.5594 Å; angles 120.14, 82.92, 128.40 degrees
Sites, in units of the cell vectors:
Hf: 0.0001 0.2500 0.2501
Hf: 0.9999 0.7500 0.7499
Hf: 0.4098 0.3621 0.5476
Hf: 0.4098 0.8618 0.0480
Hf: 0.8139 0.3618 0.9520
Hf: 0.8145 0.8621 0.4524
Co: 0.0762 0.4088 0.6673
Co: 0.0762 0.9089 0.1674
Co: 0.4021 0.1528 0.7493
Co: 0.4035 0.6528 0.2507
Co: 0.7415 0.4089 0.3327
Co: 0.7415 0.9088 0.8326
Re: 0.1545 0.2819 0.8738
Re: 0.1545 0.7808 0.3727
Re: 0.4081 0.2808 0.1262
Re: 0.4081 0.7819 0.6273
Re: 0.6609 0.1609 0.5000
Re: 0.6609 0.6609 0.0000

Principal peaks in the range 2θ from 10° to 90°, in order of rising 2θ:
| 2θ (°) | d/Å | I_rel |
| --- | --- | --- |
| 28.40 | 3.142 | 10 |
| 36.30 | 2.475 | 100 |
| 39.68 | 2.271 | 37 |
| 39.80 | 2.265 | 18 |
| 41.96 | 2.153 | 17 |
| 42.14 | 2.145 | 32 |
| 47.97 | 1.897 | 11 |
| 48.24 | 1.886 | 28 |
| 48.85 | 1.864 | 9 |
| 65.83 | 1.419 | 9 |
| 65.96 | 1.416 | 18 |
| 77.59 | 1.230 | 13 |

Starting from a DFT-relaxed cell (GGA-PBE, Alexandria), the powder X-ray diffraction pattern of HfCoS3 was calculated for Cu Kα (λ = 1.5418 Å).
No peak broadening, texture or thermal motion is included.

Atomic structure:
Cell lengths 10.3545, 10.3545, 5.9114 Å; angles 90.00, 90.00, 160.10 degrees
Sites, in units of the cell vectors:
Hf: 0.1657 0.8343 0.5000
Hf: 0.8343 0.1657 0.0000
Co: 0.3775 0.6225 0.6262
Co: 0.6225 0.3775 0.1262
S: 0.0694 0.9306 0.2421
S: 0.2742 0.7258 0.7724
S: 0.3801 0.6199 0.2518
S: 0.6199 0.3801 0.7518
S: 0.7258 0.2742 0.2724
S: 0.9306 0.0694 0.7421

Principal peaks in the range 2θ from 10° to 90°, in order of rising 2θ:
| 2θ (°) | d/Å | I_rel |
| --- | --- | --- |
| 17.37 | 5.107 | 100 |
| 23.03 | 3.861 | 46 |
| 29.50 | 3.028 | 64 |
| 36.70 | 2.449 | 40 |
| 38.45 | 2.341 | 13 |
| 40.44 | 2.231 | 22 |
| 41.80 | 2.161 | 38 |
| 46.97 | 1.935 | 11 |
| 47.12 | 1.929 | 13 |
| 47.48 | 1.915 | 25 |
| 51.04 | 1.790 | 12 |
| 67.04 | 1.396 | 13 |

Starting from a DFT-relaxed cell (GGA-PBE, Alexandria), the powder X-ray diffraction pattern of Hf2Co2Sb was calculated for Cu Kα (λ = 1.5418 Å).
No peak broadening, texture or thermal motion is included.

Atomic structure:
Cell lengths 7.1189, 7.1189, 3.2992 Å; angles 90.00, 90.00, 90.00 degrees
Sites, in units of the cell vectors:
Hf: 0.1639 0.3361 0.0000
Hf: 0.3361 0.8361 0.0000
Hf: 0.6639 0.1639 0.0000
Hf: 0.8361 0.6639 0.0000
Co: 0.1286 0.6286 0.5000
Co: 0.3714 0.1286 0.5000
Co: 0.6286 0.8714 0.5000
Co: 0.8714 0.3714 0.5000
Sb: 0.0000 0.0000 0.5000
Sb: 0.5000 0.5000 0.5000

Principal peaks in the range 2θ from 10° to 90°, in order of rising 2θ:
| 2θ (°) | d/Å | I_rel |
| --- | --- | --- |
| 28.03 | 3.184 | 30 |
| 32.45 | 2.759 | 16 |
| 35.67 | 2.517 | 10 |
| 37.16 | 2.420 | 36 |
| 39.33 | 2.291 | 100 |
| 40.05 | 2.251 | 50 |
| 53.04 | 1.727 | 10 |
| 55.72 | 1.650 | 13 |
| 60.52 | 1.530 | 15 |
| 62.05 | 1.496 | 17 |
| 70.81 | 1.331 | 18 |
| 77.84 | 1.227 | 15 |

Starting from a DFT-relaxed cell (GGA-PBE, Alexandria), the powder X-ray diffraction pattern of HfZrCo2Sb2 was calculated for Cu Kα (λ = 1.5418 Å).
No peak broadening, texture or thermal motion is included.

Atomic structure:
Cell lengths 10.6144, 10.6144, 10.6144 Å; angles 19.81, 19.81, 19.81 degrees
Sites, in units of the cell vectors:
Hf: 0.0000 0.0000 0.0000
Zr: 0.4994 0.4994 0.4994
Co: 0.3828 0.3828 0.3828
Co: 0.8842 0.8842 0.8842
Sb: 0.0957 0.0957 0.0957
Sb: 0.5962 0.5962 0.5962

Principal peaks in the range 2θ from 10° to 90°, in order of rising 2θ:
| 2θ (°) | d/Å | I_rel |
| --- | --- | --- |
| 28.80 | 3.099 | 100 |
| 34.49 | 2.601 | 16 |
| 36.58 | 2.457 | 74 |
| 40.61 | 2.221 | 94 |
| 49.95 | 1.826 | 59 |
| 58.69 | 1.573 | 13 |
| 62.11 | 1.494 | 17 |
| 63.48 | 1.465 | 14 |
| 66.26 | 1.411 | 22 |
| 66.86 | 1.399 | 14 |
| 75.64 | 1.257 | 18 |
| 87.36 | 1.116 | 21 |

Starting from a DFT-relaxed cell (GGA-PBE, Alexandria), the powder X-ray diffraction pattern of HfScCo4 was calculated for Cu Kα (λ = 1.5418 Å).
No peak broadening, texture or thermal motion is included.

Atomic structure:
Cell lengths 4.8614, 4.8614, 4.8614 Å; angles 60.00, 60.00, 60.00 degrees
Sites, in units of the cell vectors:
Hf: 0.0000 0.0000 0.0000
Sc: 0.2500 0.2500 0.2500
Co: 0.1252 0.6249 0.6249
Co: 0.6249 0.1252 0.6249
Co: 0.6249 0.6249 0.1252
Co: 0.6249 0.6249 0.6249

Principal peaks in the range 2θ from 10° to 90°, in order of rising 2θ:
| 2θ (°) | d/Å | I_rel |
| --- | --- | --- |
| 22.40 | 3.969 | 20 |
| 25.92 | 3.438 | 20 |
| 36.98 | 2.431 | 45 |
| 43.67 | 2.073 | 100 |
| 45.71 | 1.985 | 26 |
| 58.52 | 1.577 | 5 |
| 60.19 | 1.537 | 8 |
| 66.64 | 1.403 | 16 |
| 71.28 | 1.323 | 30 |
| 78.74 | 1.215 | 20 |
| 83.12 | 1.162 | 4 |
| 84.57 | 1.146 | 4 |

Starting from a DFT-relaxed cell (GGA-PBE, Alexandria), the powder X-ray diffraction pattern of Hf4ScCo2 was calculated for Cu Kα (λ = 1.5418 Å).
No peak broadening, texture or thermal motion is included.

Atomic structure:
Cell lengths 6.5345, 5.8556, 7.4188 Å; angles 90.00, 109.09, 90.00 degrees
Sites, in units of the cell vectors:
Hf: 0.0417 0.2500 0.4106
Hf: 0.2278 0.7500 0.3317
Hf: 0.3941 0.0036 0.7676
Hf: 0.3941 0.4964 0.7676
Hf: 0.6059 0.5036 0.2324
Hf: 0.6059 0.9964 0.2324
Hf: 0.7722 0.2500 0.6683
Hf: 0.9583 0.7500 0.5894
Sc: 0.1538 0.2500 0.0352
Sc: 0.8462 0.7500 0.9648
Co: 0.2807 0.7500 0.0055
Co: 0.4046 0.2500 0.4214
Co: 0.5954 0.7500 0.5786
Co: 0.7193 0.2500 0.9945

Principal peaks in the range 2θ from 10° to 90°, in order of rising 2θ:
| 2θ (°) | d/Å | I_rel |
| --- | --- | --- |
| 12.63 | 7.011 | 37 |
| 33.26 | 2.693 | 60 |
| 33.88 | 2.645 | 68 |
| 34.52 | 2.598 | 43 |
| 35.36 | 2.538 | 100 |
| 36.38 | 2.469 | 31 |
| 38.00 | 2.368 | 63 |
| 39.66 | 2.272 | 60 |
| 40.10 | 2.249 | 81 |
| 41.53 | 2.175 | 56 |
| 46.78 | 1.942 | 25 |
| 65.83 | 1.419 | 29 |

Starting from a DFT-relaxed cell (GGA-PBE, Alexandria), the powder X-ray diffraction pattern of HfSc3Co4 was calculated for Cu Kα (λ = 1.5418 Å).
No peak broadening, texture or thermal motion is included.

Atomic structure:
Cell lengths 3.1356, 4.4258, 8.8614 Å; angles 90.00, 90.00, 90.00 degrees
Sites, in units of the cell vectors:
Hf: 0.0000 0.0000 0.0000
Sc: 0.0000 0.0000 0.5000
Sc: 0.0000 0.5000 0.2534
Sc: 0.0000 0.5000 0.7466
Co: 0.5000 0.0000 0.2431
Co: 0.5000 0.0000 0.7569
Co: 0.5000 0.5000 0.0000
Co: 0.5000 0.5000 0.5000

Principal peaks in the range 2θ from 10° to 90°, in order of rising 2θ:
| 2θ (°) | d/Å | I_rel |
| --- | --- | --- |
| 20.05 | 4.428 | 11 |
| 22.46 | 3.959 | 9 |
| 30.24 | 2.955 | 5 |
| 35.07 | 2.559 | 6 |
| 36.56 | 2.458 | 7 |
| 40.73 | 2.215 | 100 |
| 42.05 | 2.149 | 4 |
| 54.83 | 1.674 | 3 |
| 58.97 | 1.566 | 16 |
| 74.11 | 1.279 | 20 |
| 74.19 | 1.278 | 10 |
| 88.20 | 1.108 | 8 |

Starting from a DFT-relaxed cell (GGA-PBE, Alexandria), the powder X-ray diffraction pattern of HfSc2Co4 was calculated for Cu Kα (λ = 1.5418 Å).
No peak broadening, texture or thermal motion is included.

Atomic structure:
Cell lengths 7.4199, 7.4199, 7.4199 Å; angles 33.55, 33.55, 33.55 degrees
Sites, in units of the cell vectors:
Hf: 0.0000 0.0000 0.0000
Sc: 0.2390 0.2390 0.2390
Sc: 0.7610 0.7610 0.7610
Co: 0.1202 0.1202 0.1202
Co: 0.3752 0.3752 0.3752
Co: 0.6248 0.6248 0.6248
Co: 0.8798 0.8798 0.8798

Principal peaks in the range 2θ from 10° to 90°, in order of rising 2θ:
| 2θ (°) | d/Å | I_rel |
| --- | --- | --- |
| 12.65 | 6.996 | 34 |
| 24.37 | 3.653 | 29 |
| 25.47 | 3.497 | 8 |
| 32.20 | 2.780 | 16 |
| 38.61 | 2.332 | 9 |
| 42.19 | 2.142 | 100 |
| 44.23 | 2.048 | 10 |
| 49.93 | 1.827 | 5 |
| 54.05 | 1.697 | 6 |
| 58.52 | 1.577 | 10 |
| 61.20 | 1.514 | 15 |
| 77.14 | 1.237 | 29 |